Record 1
Starting from a structure optimized by DFT (PBE+U), the X-ray diffraction stick pattern of V4FeNiO12 was calculated for CuKα.

Peak list (10 most intense, 2θ = 5–70°, sorted by position)
13.45 deg, rel. 245; 18.24 deg, rel. 451; 19.45 deg, rel. 485; 23.42 deg, rel. 242; 27.92 deg, rel. 1000; 29.83 deg, rel. 617; 32.40 deg, rel. 453; 34.98 deg, rel. 261; 44.57 deg, rel. 246; 50.46 deg, rel. 181

Structural model:
a b c (Å): 5.9126 6.8272 6.8418
angles (deg): 83.79 74.63 74.71
Space group P1 (No. 1)
Asymmetric unit:
V (0.0000, 0.0000, 0.0000) [1 per cell]
V (0.0045, 0.4095, 0.4095) [1 per cell]
V (0.4953, 0.1822, 0.8230) [1 per cell]
V (0.5094, 0.5867, 0.2276) [1 per cell]
Fe (0.0031, 0.8805, 0.5289) [1 per cell]
Ni (0.5021, 0.7089, 0.7009) [1 per cell]
O (0.0215, 0.1802, 0.5296) [1 per cell]
O (0.1234, 0.8329, 0.8062) [1 per cell]
O (0.1984, 0.1664, 0.9686) [1 per cell]
O (0.3023, 0.4253, 0.2686) [1 per cell]
O (0.4000, 0.7552, 0.4193) [1 per cell]
O (0.4781, 0.4134, 0.7071) [1 per cell]
O (0.5275, 0.7019, 0.9965) [1 per cell]
O (0.6043, 0.9901, 0.6549) [1 per cell]
O (0.7019, 0.1411, 0.9839) [1 per cell]
O (0.8064, 0.4411, 0.2437) [1 per cell]
O (0.8824, 0.6041, 0.5762) [1 per cell]
O (0.9827, 0.8796, 0.2285) [1 per cell]

Record 2
Starting from a structure optimized by DFT (PBE+U), the X-ray diffraction stick pattern of ZnFe8Ni3O16 was calculated for CuKα.

Peak list (10 most intense, 2θ = 5–70°, sorted by position)
18.37 deg, rel. 94; 30.23 deg, rel. 290; 35.60 deg, rel. 1000; 37.24 deg, rel. 95; 43.27 deg, rel. 194; 47.38 deg, rel. 7; 53.69 deg, rel. 100; 57.24 deg, rel. 347; 62.86 deg, rel. 437; 66.10 deg, rel. 14

Structural model:
a b c (Å): 11.8285 11.8286 8.3618
angles (deg): 90.00 90.06 90.00
Space group Cm (No. 8)
Asymmetric unit:
Zn (0.0000, 0.0000, 0.0000) [2 per cell]
Zn (0.2446, 0.0000, 0.7429) [2 per cell]
Fe (0.1206, 0.0000, 0.3737) [2 per cell]
Fe (0.1216, 0.2491, 0.8738) [4 per cell]
Fe (0.1233, 0.5000, 0.3731) [2 per cell]
Fe (0.2467, 0.2475, 0.5084) [4 per cell]
Fe (0.2480, 0.3726, 0.1239) [4 per cell]
Fe (0.2485, 0.5000, 0.7436) [2 per cell]
Fe (0.3711, 0.5000, 0.3722) [2 per cell]
Fe (0.3718, 0.0000, 0.3758) [2 per cell]
Fe (0.3719, 0.2511, 0.8744) [4 per cell]
Fe (0.4954, 0.0000, 0.0013) [2 per cell]
Fe (0.4954, 0.2526, 0.2444) [4 per cell]
Ni (0.2459, 0.1232, 0.1228) [4 per cell]
Ni (0.4972, 0.1244, 0.6228) [4 per cell]
Ni (0.4972, 0.3761, 0.6248) [4 per cell]
O (0.0025, 0.3844, 0.3726) [4 per cell]
O (0.1112, 0.0000, 0.6026) [2 per cell]
O (0.1175, 0.2489, 0.6402) [4 per cell]
O (0.1201, 0.5000, 0.6074) [2 per cell]
O (0.1303, 0.0000, 0.1442) [2 per cell]
O (0.1308, 0.2575, 0.1111) [4 per cell]
O (0.1317, 0.5000, 0.1337) [2 per cell]
O (0.2420, 0.1214, 0.3710) [4 per cell]
O (0.2465, 0.3838, 0.3683) [4 per cell]
O (0.2468, 0.1409, 0.8787) [4 per cell]
O (0.2477, 0.3669, 0.8811) [4 per cell]
O (0.3567, 0.5000, 0.1371) [2 per cell]
O (0.3661, 0.2523, 0.1136) [4 per cell]
O (0.3691, 0.0000, 0.1384) [2 per cell]
O (0.3746, 0.5000, 0.6081) [2 per cell]
O (0.3761, 0.2520, 0.6395) [4 per cell]
O (0.3813, 0.0000, 0.6042) [2 per cell]
O (0.4924, 0.3861, 0.3717) [4 per cell]
O (0.4963, 0.1338, 0.8726) [4 per cell]
O (0.4966, 0.3580, 0.8706) [4 per cell]

Record 3
Starting from a structure optimized by DFT (PBE+U), the X-ray diffraction stick pattern of ZnFe4NiO8 was calculated for CuKα.

Peak list (10 most intense, 2θ = 5–70°, sorted by position)
18.08 deg, rel. 74; 29.73 deg, rel. 308; 35.02 deg, rel. 1000; 36.63 deg, rel. 86; 42.55 deg, rel. 176; 52.77 deg, rel. 110; 56.24 deg, rel. 351; 61.74 deg, rel. 442; 64.91 deg, rel. 10; 70.00 deg, rel. 19

Structural model:
a b c (Å): 6.0119 6.0119 14.7090
angles (deg): 90.00 90.00 120.00
Space group R3m (No. 160, hexagonal axes)
Asymmetric unit:
Zn (0.0000, 0.0000, 0.0000) [3 per cell]
Fe (0.0000, 0.0000, 0.7540) [3 per cell]
Fe (0.0039, 0.5019, 0.8779) [9 per cell]
Ni (0.0000, 0.0000, 0.3761) [3 per cell]
O (0.0000, 0.0000, 0.1359) [3 per cell]
O (0.0000, 0.0000, 0.6219) [3 per cell]
O (0.0147, 0.5073, 0.1328) [9 per cell]
O (0.1791, 0.3583, 0.9547) [9 per cell]

Record 4
Starting from a structure optimized by DFT (PBE+U), the X-ray diffraction stick pattern of ZnFe4NiO8 was calculated for CuKα.

Peak list (10 most intense, 2θ = 5–70°, sorted by position)
18.28 deg, rel. 122; 30.09 deg, rel. 380; 35.39 deg, rel. 1000; 35.49 deg, rel. 490; 42.99 deg, rel. 173; 53.46 deg, rel. 108; 56.86 deg, rel. 340; 57.05 deg, rel. 188; 62.29 deg, rel. 111; 62.56 deg, rel. 535

Structural model:
a b c (Å): 11.8786 11.9239 8.3840
angles (deg): 90.00 90.03 90.00
Space group Cm (No. 8)
Asymmetric unit:
Zn (0.0000, 0.0000, 0.0000) [2 per cell]
Zn (0.0067, 0.5000, 0.9962) [2 per cell]
Zn (0.2533, 0.2499, 0.4883) [4 per cell]
Fe (0.0042, 0.3742, 0.6224) [4 per cell]
Fe (0.0054, 0.1271, 0.6227) [4 per cell]
Fe (0.0049, 0.2502, 0.2504) [4 per cell]
Fe (0.1315, 0.0000, 0.3677) [2 per cell]
Fe (0.2532, 0.1230, 0.1246) [4 per cell]
Fe (0.2530, 0.3762, 0.1245) [4 per cell]
Fe (0.2525, 0.5000, 0.7531) [2 per cell]
Fe (0.2541, 0.0000, 0.7504) [2 per cell]
Fe (0.3754, 0.0000, 0.3702) [2 per cell]
Fe (0.3798, 0.2502, 0.8737) [4 per cell]
Ni (0.1284, 0.2501, 0.8716) [4 per cell]
Ni (0.1301, 0.5000, 0.3706) [2 per cell]
Ni (0.3758, 0.5000, 0.3691) [2 per cell]
O (0.9998, 0.3670, 0.8562) [4 per cell]
O (0.0013, 0.1340, 0.8623) [4 per cell]
O (0.0112, 0.1158, 0.3763) [4 per cell]
O (0.1167, 0.5000, 0.6217) [2 per cell]
O (0.1210, 0.2471, 0.6267) [4 per cell]
O (0.1239, 0.0000, 0.6082) [2 per cell]
O (0.1412, 0.2487, 0.1232) [4 per cell]
O (0.1418, 0.0000, 0.1358) [2 per cell]
O (0.1437, 0.5000, 0.1275) [2 per cell]
O (0.2529, 0.3815, 0.3520) [4 per cell]
O (0.2540, 0.1091, 0.3554) [4 per cell]
O (0.2561, 0.1289, 0.8894) [4 per cell]
O (0.2558, 0.3689, 0.8869) [4 per cell]
O (0.3606, 0.5000, 0.1263) [2 per cell]
O (0.3649, 0.0000, 0.1349) [2 per cell]
O (0.3683, 0.2475, 0.1188) [4 per cell]
O (0.3780, 0.0000, 0.6059) [2 per cell]
O (0.3856, 0.5000, 0.6195) [2 per cell]
O (0.3900, 0.2470, 0.6299) [4 per cell]
O (0.4958, 0.1169, 0.3822) [4 per cell]

Record 5
Starting from a structure optimized by DFT (PBE+U), the X-ray diffraction stick pattern of ZnFe4NiO8 was calculated for CuKα.

Peak list (10 most intense, 2θ = 5–70°, sorted by position)
18.00 deg, rel. 57; 29.60 deg, rel. 338; 34.86 deg, rel. 1000; 36.47 deg, rel. 76; 42.36 deg, rel. 156; 52.53 deg, rel. 121; 55.98 deg, rel. 363; 61.45 deg, rel. 440; 64.60 deg, rel. 6; 69.67 deg, rel. 46

Structural model:
a b c (Å): 8.5352 8.5352 8.5352
angles (deg): 90.00 90.00 90.00
Space group F-43m (No. 216)
Asymmetric unit:
Zn (0.0000, 0.0000, 0.0000) [4 per cell]
Fe (0.1251, 0.1251, 0.6251) [16 per cell]
Ni (0.2500, 0.2500, 0.2500) [4 per cell]
O (0.1155, 0.1155, 0.3845) [16 per cell]
O (0.1355, 0.1355, 0.8645) [16 per cell]

Record 6
Starting from a structure optimized by DFT (PBE+U), the X-ray diffraction stick pattern of ZnFe16Ni7O32 was calculated for CuKα.

Peak list (10 most intense, 2θ = 5–70°, sorted by position)
18.32 deg, rel. 102; 30.13 deg, rel. 278; 35.49 deg, rel. 1000; 37.12 deg, rel. 98; 43.14 deg, rel. 205; 53.49 deg, rel. 54; 53.56 deg, rel. 42; 57.04 deg, rel. 316; 62.53 deg, rel. 75; 62.67 deg, rel. 367

Structural model:
a b c (Å): 8.3840 8.3907 8.3908
angles (deg): 90.16 90.01 90.00
Space group P1 (No. 1)
Asymmetric unit:
Zn (0.0000, 0.0000, 0.0000) [1 per cell]
Fe (0.0025, 0.4980, 0.4949) [1 per cell]
Fe (0.1302, 0.1276, 0.3701) [1 per cell]
Fe (0.1301, 0.3763, 0.1222) [1 per cell]
Fe (0.1301, 0.6260, 0.8727) [1 per cell]
Fe (0.1308, 0.8756, 0.6240) [1 per cell]
Fe (0.2569, 0.2530, 0.7491) [1 per cell]
Fe (0.2598, 0.7529, 0.2433) [1 per cell]
Fe (0.4967, 0.5040, 0.9955) [1 per cell]
Fe (0.5003, 0.0017, 0.4934) [1 per cell]
Fe (0.6282, 0.3786, 0.6232) [1 per cell]
Fe (0.6291, 0.6275, 0.3699) [1 per cell]
Fe (0.6308, 0.1256, 0.8708) [1 per cell]
Fe (0.6306, 0.8754, 0.1215) [1 per cell]
Fe (0.7600, 0.7514, 0.7523) [1 per cell]
Fe (0.7613, 0.2506, 0.2468) [1 per cell]
Fe (0.8796, 0.1276, 0.6212) [1 per cell]
Ni (0.3791, 0.1270, 0.1223) [1 per cell]
Ni (0.3789, 0.3765, 0.3717) [1 per cell]
Ni (0.3800, 0.6253, 0.6224) [1 per cell]
Ni (0.3803, 0.8754, 0.8730) [1 per cell]
Ni (0.8791, 0.6278, 0.1211) [1 per cell]
Ni (0.8793, 0.8765, 0.3690) [1 per cell]
Ni (0.8800, 0.3774, 0.8724) [1 per cell]
O (0.1185, 0.1207, 0.6112) [1 per cell]
O (0.1263, 0.8896, 0.3768) [1 per cell]
O (0.1276, 0.3877, 0.8855) [1 per cell]
O (0.1275, 0.6143, 0.1109) [1 per cell]
O (0.1314, 0.6327, 0.6320) [1 per cell]
O (0.1329, 0.3653, 0.3593) [1 per cell]
O (0.1338, 0.1428, 0.1377) [1 per cell]
O (0.1353, 0.8605, 0.8614) [1 per cell]
O (0.3623, 0.6302, 0.8654) [1 per cell]
O (0.3646, 0.1322, 0.3693) [1 per cell]
O (0.3671, 0.3722, 0.1265) [1 per cell]
O (0.3735, 0.8722, 0.6266) [1 per cell]
O (0.3807, 0.3809, 0.6154) [1 per cell]
O (0.3934, 0.6231, 0.3762) [1 per cell]
O (0.3943, 0.8820, 0.1174) [1 per cell]
O (0.3949, 0.1225, 0.8756) [1 per cell]
O (0.6263, 0.8797, 0.8856) [1 per cell]
O (0.6275, 0.3849, 0.3832) [1 per cell]
O (0.6279, 0.6143, 0.6210) [1 per cell]
O (0.6288, 0.1154, 0.1154) [1 per cell]
O (0.6309, 0.6387, 0.1243) [1 per cell]
O (0.6312, 0.8675, 0.3600) [1 per cell]
O (0.6326, 0.3747, 0.8588) [1 per cell]
O (0.6398, 0.1377, 0.6260) [1 per cell]
O (0.8588, 0.8682, 0.1305) [1 per cell]
O (0.8618, 0.1332, 0.8522) [1 per cell]
O (0.8656, 0.6297, 0.3702) [1 per cell]
O (0.8792, 0.3594, 0.6255) [1 per cell]
O (0.8843, 0.8934, 0.6176) [1 per cell]
O (0.8928, 0.3799, 0.1171) [1 per cell]
O (0.8936, 0.1235, 0.3859) [1 per cell]
O (0.8969, 0.6218, 0.8760) [1 per cell]